1.
This entry pairs a crystal structure of Ba2AcTeO6 with its theoretical powder X-ray diffraction pattern. Radiation: Cu Kα, 1.54184 Å. Structure: a cell relaxed with GGA-PBE.
Kinematic intensities with the Lorentz-polarization factor, no thermal factor.

Atomic structure:
abc: 6.2121 8.9641 6.5845
angles: 90.00 90.00 90.00
Space group Pmmn (No. 59, origin choice 2)
Inequivalent atoms, fractional coordinates:
Ba1 0.2500 0.0210 0.2053 x4
Ac1 0.2500 0.2500 0.7179 x2
Te1 0.2500 0.7500 0.7719 x2
O1 0.0045 0.7500 0.5617 x4
O2 0.0125 0.7500 0.0038 x4
O3 0.2500 0.5173 0.7860 x4

Most intense lines, 10° ≤ 2θ ≤ 90°, in order of rising 2θ:
d (Å)	intensity	h k l
3.292	24	0 0 2
3.182	100	1 2 1
3.106	26	2 0 0
2.259	25	2 0 2
2.241	14	0 4 0
1.879	14	1 2 3
1.853	8	0 4 2
1.817	10	2 4 0
1.808	20	3 2 1
1.591	17	2 4 2

2.
This entry pairs a crystal structure of Tb2Tm2Tl3 with its theoretical powder X-ray diffraction pattern. Radiation: Cu Kα, 1.54184 Å. Structure: a cell relaxed with GGA-PBE.
Kinematic intensities with the Lorentz-polarization factor, no thermal factor.

Atomic structure:
abc: 3.7265 6.9958 8.7866
angles: 68.87 89.92 74.56
Space group P-1 (No. 2)
Inequivalent atoms, fractional coordinates:
Tb1 0.1127 0.2760 0.4438 x2
Tm1 0.3796 0.7444 0.1832 x2
Tl1 0.0000 0.5000 0.0000 x1
Tl2 0.3012 0.8945 0.7848 x2

Most intense lines, 10° ≤ 2θ ≤ 90°, in order of rising 2θ:
d (Å)	intensity	h k l
2.948	37	0 1 -2
2.856	100	-1 1 1
2.840	26	1 1 2
2.779	30	1 2 0
2.584	35	0 2 3
2.554	41	1 0 2
2.283	31	1 0 -3
2.230	20	0 3 1
1.863	21	2 1 0
1.542	21	-1 3 4

3.
This entry pairs a crystal structure of MoW3 with its theoretical powder X-ray diffraction pattern. Radiation: Cu Kα, 1.54184 Å. Structure: a cell relaxed with GGA-PBE.
Kinematic intensities with the Lorentz-polarization factor, no thermal factor.

Atomic structure:
abc: 3.1870 4.4884 9.0002
angles: 90.00 90.00 90.00
Space group Cmmm (No. 65)
Inequivalent atoms, fractional coordinates:
Mo1 0.0000 0.0000 0.0000 x2
W1 0.0000 0.0000 0.5000 x2
W2 0.0000 0.5000 0.2494 x4

Most intense lines, 10° ≤ 2θ ≤ 90°, in order of rising 2θ:
d (Å)	intensity	h k l
4.500	2	0 0 2
2.497	2	1 1 1
2.250	100	1 1 2
2.244	20	0 2 0
1.593	7	2 0 0
1.589	14	0 2 4
1.299	28	2 2 0
1.297	14	1 3 2
1.125	11	2 2 4
1.122	2	0 4 0

4.
This entry pairs a crystal structure of ThTl3Br8 with its theoretical powder X-ray diffraction pattern. Radiation: Cu Kα, 1.54184 Å. Structure: a cell relaxed with GGA-PBE.
Kinematic intensities with the Lorentz-polarization factor, no thermal factor.

Atomic structure:
abc: 7.6189 7.6189 15.4968
angles: 90.00 90.00 90.00
Space group I-42m (No. 121)
Inequivalent atoms, fractional coordinates:
Th1 0.0000 0.0000 0.0000 x2
Tl1 0.0000 0.0000 0.5000 x2
Tl2 0.0000 0.5000 0.2500 x4
Br1 0.1871 0.1871 0.1362 x8
Br2 0.2414 0.2414 0.4090 x8

Most intense lines, 10° ≤ 2θ ≤ 90°, in order of rising 2θ:
d (Å)	intensity	h k l
4.423	100	1 1 2
2.716	70	2 0 4
2.694	37	2 2 0
2.329	21	1 1 6
2.301	41	3 1 2
1.905	10	4 0 0
1.762	15	3 1 6
1.749	8	3 3 2
1.560	18	4 2 4
1.467	11	5 1 2